(1)
# Y2Hg2O5
Theoretical powder diffractogram, Cu Kα (weighted mean of Kα1 and Kα2). Input: a structure optimized by DFT (PBE).
Intensities are scaled so that the largest is 100.

Crystal structure
```
Y2Hg2O5
1.0
11.9212 0.0000 0.0000
0.0000 3.5904 0.0000
0.0000 0.0000 13.2759
Y Hg O
8 8 20
Direct
0.0339 0.2495 0.0000 Y
0.2161 0.2496 0.6715 Y
0.2839 0.7496 0.1715 Y
0.4661 0.7495 0.5000 Y
0.5339 0.2505 0.0000 Y
0.7161 0.2504 0.6715 Y
0.7839 0.7504 0.1715 Y
0.9661 0.7505 0.5000 Y
0.0035 0.2512 0.2703 Hg
0.2464 0.2488 0.4012 Hg
0.2536 0.7488 0.9012 Hg
0.4965 0.7512 0.7703 Hg
0.5035 0.2488 0.2703 Hg
0.7464 0.2512 0.4012 Hg
0.7536 0.7512 0.9012 Hg
0.9965 0.7488 0.7703 Hg
0.0599 0.2504 0.4376 O
0.0976 0.7498 0.6253 O
0.1250 0.2495 0.8357 O
0.1525 0.7495 0.0461 O
0.1900 0.2496 0.2338 O
0.3100 0.7496 0.7338 O
0.3475 0.2495 0.5461 O
0.3750 0.7495 0.3357 O
0.4024 0.2498 0.1253 O
0.4401 0.7504 0.9376 O
0.5599 0.2496 0.4376 O
0.5976 0.7502 0.6253 O
0.6250 0.2505 0.8357 O
0.6525 0.7505 0.0461 O
0.6900 0.2504 0.2338 O
0.8100 0.7504 0.7338 O
0.8475 0.2505 0.5461 O
0.8750 0.7505 0.3357 O
0.9024 0.2502 0.1253 O
0.9401 0.7496 0.9376 O
```

The 10 most intense peaks (10° ≤ 2θ ≤ 90°), by intensity:
- d 2.900, rel. 100
- d 2.996, rel. 72
- d 2.526, rel. 64
- d 3.466, rel. 49
- d 2.980, rel. 45
- d 6.638, rel. 40
- d 2.260, rel. 39
- d 1.526, rel. 30
- d 2.788, rel. 23
- d 1.618, rel. 22

=====

(2)
# Zr6Hg3O
Theoretical powder diffractogram, Cu Kα (weighted mean of Kα1 and Kα2). Input: a structure optimized by DFT (PBE).
Intensities are scaled so that the largest is 100.

Crystal structure
```
Zr6Hg3O
1.0
6.2418 -7.3106 0.0000
6.2418 7.3106 0.0000
0.0000 0.0000 4.4950
Zr Hg O
12 6 2
Direct
0.0758 0.9242 0.7500 Zr
0.0916 0.5648 0.7500 Zr
0.2490 0.4104 0.2500 Zr
0.2534 0.7466 0.2500 Zr
0.4104 0.2490 0.7500 Zr
0.4352 0.9084 0.7500 Zr
0.5648 0.0916 0.2500 Zr
0.5896 0.7510 0.2500 Zr
0.7466 0.2534 0.7500 Zr
0.7510 0.5896 0.7500 Zr
0.9084 0.4352 0.2500 Zr
0.9242 0.0758 0.2500 Zr
0.0717 0.2525 0.7500 Hg
0.2525 0.0717 0.2500 Hg
0.4230 0.5770 0.7500 Hg
0.5770 0.4230 0.2500 Hg
0.7475 0.9283 0.7500 Hg
0.9283 0.7475 0.2500 Hg
0.2226 0.7774 0.7500 O
0.7774 0.2226 0.2500 O
```

The 10 most intense peaks (10° ≤ 2θ ≤ 90°), by intensity:
- d 2.588, rel. 100
- d 2.437, rel. 21
- d 2.247, rel. 18
- d 2.081, rel. 14
- d 1.434, rel. 14
- d 1.354, rel. 13
- d 1.652, rel. 12
- d 1.294, rel. 11
- d 1.582, rel. 11
- d 1.279, rel. 10

=====

(3)
# HgOs4
Theoretical powder diffractogram, Cu Kα (weighted mean of Kα1 and Kα2). Input: a structure optimized by DFT (PBE).
Intensities are scaled so that the largest is 100.

Crystal structure
```
HgOs4
1.0
-1.9264 1.9264 5.8572
1.9264 -1.9264 5.8572
1.9264 1.9264 -5.8572
Hg Os
1 4
Direct
0.0000 0.0000 0.0000 Hg
0.2500 0.7500 0.5000 Os
0.3943 0.3943 0.0000 Os
0.6057 0.6057 0.0000 Os
0.7500 0.2500 0.5000 Os
```

The 10 most intense peaks (10° ≤ 2θ ≤ 90°), by intensity:
- d 2.470, rel. 100
- d 1.926, rel. 49
- d 2.002, rel. 40
- d 2.743, rel. 38
- d 1.995, rel. 31
- d 1.388, rel. 25
- d 1.193, rel. 21
- d 1.362, rel. 16
- d 1.576, rel. 15
- d 1.166, rel. 14

=====

(4)
# HgOs
Theoretical powder diffractogram, Cu Kα (weighted mean of Kα1 and Kα2). Input: a structure optimized by DFT (PBE).
Intensities are scaled so that the largest is 100.

Crystal structure
```
HgOs
1.0
1.4551 -8.7667 0.0000
1.4551 8.7667 0.0000
0.0000 0.0000 2.8730
Hg Os
2 2
Direct
0.0784 0.9216 0.7500 Hg
0.9216 0.0784 0.2500 Hg
0.2952 0.7048 0.7500 Os
0.7048 0.2952 0.2500 Os
```

The 10 most intense peaks (10° ≤ 2θ ≤ 90°), by intensity:
- d 2.403, rel. 100
- d 2.239, rel. 76
- d 2.031, rel. 74
- d 1.410, rel. 37
- d 1.245, rel. 26
- d 2.605, rel. 25
- d 1.209, rel. 22
- d 2.192, rel. 21
- d 2.922, rel. 20
- d 8.767, rel. 20

=====

(5)
# Hg3Os
Theoretical powder diffractogram, Cu Kα (weighted mean of Kα1 and Kα2). Input: a structure optimized by DFT (PBE).
Intensities are scaled so that the largest is 100.

Crystal structure
```
Hg3Os
1.0
-2.0985 2.0985 8.8399
2.0985 -2.0985 8.8399
2.0985 2.0985 -8.8399
Hg Os
6 2
Direct
0.0000 0.5000 0.5000 Hg
0.1272 0.1272 0.0000 Hg
0.2500 0.7500 0.5000 Hg
0.5000 0.0000 0.5000 Hg
0.7500 0.2500 0.5000 Hg
0.8728 0.8728 0.0000 Hg
0.3853 0.3853 0.0000 Os
0.6147 0.6147 0.0000 Os
```

The 10 most intense peaks (10° ≤ 2θ ≤ 90°), by intensity:
- d 2.464, rel. 100
- d 2.099, rel. 32
- d 1.271, rel. 26
- d 1.522, rel. 22
- d 2.210, rel. 17
- d 1.320, rel. 13
- d 1.232, rel. 11
- d 1.484, rel. 11
- d 1.105, rel. 2
- d 2.164, rel. 1

=====

(6)
# HgOs5
Theoretical powder diffractogram, Cu Kα (weighted mean of Kα1 and Kα2). Input: a structure optimized by DFT (PBE).
Intensities are scaled so that the largest is 100.

Crystal structure
```
HgOs5
1.0
2.7926 0.0000 0.0000
-1.3963 2.4185 0.0000
0.0000 0.0000 13.5882
Hg Os
1 5
Direct
0.0000 0.0000 0.0000 Hg
0.0000 0.0000 0.3402 Os
0.0000 0.0000 0.6598 Os
0.6667 0.3333 0.1873 Os
0.6667 0.3333 0.5000 Os
0.6667 0.3333 0.8127 Os
```

The 10 most intense peaks (10° ≤ 2θ ≤ 90°), by intensity:
- d 2.133, rel. 100
- d 2.418, rel. 25
- d 2.265, rel. 22
- d 1.396, rel. 18
- d 1.189, rel. 18
- d 1.168, rel. 15
- d 1.653, rel. 13
- d 1.281, rel. 13
- d 1.185, rel. 4
- d 1.970, rel. 4

=====

(7)
# HgP4Os
Theoretical powder diffractogram, Cu Kα (weighted mean of Kα1 and Kα2). Input: a structure optimized by DFT (PBE).
Intensities are scaled so that the largest is 100.

Crystal structure
```
HgP4Os
1.0
0.0000 3.6213 3.6213
3.6213 0.0000 3.6213
3.6213 3.6213 0.0000
Hg P Os
1 4 1
Direct
0.0000 0.0000 0.0000 Hg
0.1338 0.6221 0.6221 P
0.6221 0.1338 0.6221 P
0.6221 0.6221 0.1338 P
0.6221 0.6221 0.6221 P
0.2500 0.2500 0.2500 Os
```

The 10 most intense peaks (10° ≤ 2θ ≤ 90°), by intensity:
- d 2.561, rel. 100
- d 2.184, rel. 94
- d 4.181, rel. 66
- d 1.478, rel. 38
- d 1.394, rel. 30
- d 1.280, rel. 20
- d 1.662, rel. 17
- d 1.145, rel. 17
- d 1.224, rel. 13
- d 1.104, rel. 11

=====

(8)
# Pm4Hg3Os
Theoretical powder diffractogram, Cu Kα (weighted mean of Kα1 and Kα2). Input: a structure optimized by DFT (PBE).
Intensities are scaled so that the largest is 100.

Crystal structure
```
Pm4Hg3Os
1.0
-3.7188 3.7188 3.7188
3.7188 -3.7188 3.7188
3.7188 3.7188 -3.7188
Pm Hg Os
4 3 1
Direct
0.0000 0.0000 0.5000 Pm
0.0000 0.5000 0.0000 Pm
0.5000 0.0000 0.0000 Pm
0.5000 0.5000 0.5000 Pm
0.0000 0.5000 0.5000 Hg
0.5000 0.0000 0.5000 Hg
0.5000 0.5000 0.0000 Hg
0.0000 0.0000 0.0000 Os
```

The 9 most intense peaks (10° ≤ 2θ ≤ 90°), by intensity:
- d 2.630, rel. 100
- d 1.518, rel. 38
- d 1.859, rel. 18
- d 1.176, rel. 17
- d 1.315, rel. 12
- d 3.719, rel. 2
- d 1.663, rel. 1
- d 2.147, rel. 1
- d 1.240, rel. 1

=====

(9)
# Pm5HgOs2
Theoretical powder diffractogram, Cu Kα (weighted mean of Kα1 and Kα2). Input: a structure optimized by DFT (PBE).
Intensities are scaled so that the largest is 100.

Crystal structure
```
Pm5HgOs2
1.0
-3.9727 3.9727 6.8881
3.9727 -3.9727 6.8881
3.9727 3.9727 -6.8881
Pm Hg Os
10 2 4
Direct
0.0000 0.0000 0.0000 Pm
0.0282 0.5282 0.8207 Pm
0.2075 0.0282 0.5000 Pm
0.2925 0.7925 0.8207 Pm
0.4718 0.2925 0.5000 Pm
0.5000 0.5000 0.0000 Pm
0.5282 0.7075 0.5000 Pm
0.7075 0.2075 0.1793 Pm
0.7925 0.9718 0.5000 Pm
0.9718 0.4718 0.1793 Pm
0.2500 0.2500 0.0000 Hg
0.7500 0.7500 0.0000 Hg
0.1392 0.3608 0.5000 Os
0.3608 0.8608 0.2216 Os
0.6392 0.1392 0.7784 Os
0.8608 0.6392 0.5000 Os
```

The 10 most intense peaks (10° ≤ 2θ ≤ 90°), by intensity:
- d 2.810, rel. 100
- d 2.513, rel. 60
- d 2.177, rel. 34
- d 1.420, rel. 27
- d 2.602, rel. 25
- d 1.405, rel. 20
- d 1.777, rel. 19
- d 1.722, rel. 17
- d 6.888, rel. 17
- d 2.936, rel. 16

=====

(10)
# Hg4OsRh
Theoretical powder diffractogram, Cu Kα (weighted mean of Kα1 and Kα2). Input: a structure optimized by DFT (PBE).
Intensities are scaled so that the largest is 100.

Crystal structure
```
Hg4OsRh
1.0
0.0000 3.9215 3.9215
3.9215 0.0000 3.9215
3.9215 3.9215 0.0000
Hg Os Rh
4 1 1
Direct
0.1249 0.1249 0.1249 Hg
0.1249 0.1249 0.6252 Hg
0.1249 0.6252 0.1249 Hg
0.6252 0.1249 0.1249 Hg
0.7500 0.7500 0.7500 Os
0.5000 0.5000 0.5000 Rh
```

The 10 most intense peaks (10° ≤ 2θ ≤ 90°), by intensity:
- d 2.365, rel. 100
- d 2.264, rel. 52
- d 1.509, rel. 33
- d 1.386, rel. 30
- d 1.182, rel. 21
- d 4.528, rel. 18
- d 2.773, rel. 18
- d 1.196, rel. 12
- d 1.961, rel. 10
- d 1.601, rel. 7

=====

(11)
# HgOs2Rh
Theoretical powder diffractogram, Cu Kα (weighted mean of Kα1 and Kα2). Input: a structure optimized by DFT (PBE).
Intensities are scaled so that the largest is 100.

Crystal structure
```
HgOs2Rh
1.0
2.8049 0.0000 0.0000
0.0000 3.8182 0.0000
0.0000 0.0000 5.9450
Hg Os Rh
1 2 1
Direct
0.0000 0.0000 0.0000 Hg
0.0000 0.0000 0.4889 Os
0.5000 0.5000 0.2961 Os
0.5000 0.5000 0.7391 Rh
```

The 10 most intense peaks (10° ≤ 2θ ≤ 90°), by intensity:
- d 2.346, rel. 100
- d 2.260, rel. 99
- d 2.040, rel. 67
- d 1.394, rel. 39
- d 1.909, rel. 30
- d 1.204, rel. 25
- d 1.242, rel. 20
- d 1.159, rel. 12
- d 1.130, rel. 11
- d 1.170, rel. 11

=====

(12)
# HgSb2Os
Theoretical powder diffractogram, Cu Kα (weighted mean of Kα1 and Kα2). Input: a structure optimized by DFT (PBE).
Intensities are scaled so that the largest is 100.

Crystal structure
```
HgSb2Os
1.0
1.6147 -2.6922 0.0000
1.6147 2.6922 0.0000
0.0000 0.0000 11.1257
Hg Sb Os
1 2 1
Direct
0.0000 0.0000 0.0000 Hg
0.5000 0.5000 0.3040 Sb
0.5000 0.5000 0.6960 Sb
0.0000 0.0000 0.5000 Os
```

The 10 most intense peaks (10° ≤ 2θ ≤ 90°), by intensity:
- d 2.479, rel. 100
- d 2.692, rel. 41
- d 1.510, rel. 22
- d 5.563, rel. 21
- d 2.781, rel. 20
- d 1.963, rel. 17
- d 1.934, rel. 14
- d 1.243, rel. 13
- d 3.709, rel. 11
- d 1.385, rel. 10